# 1
TlAsPtCl: simulated powder X-ray diffraction pattern (Cu Kα), based on DFT lattice parameters and positions (PBE).

Principal peaks in the range 2θ = 15–90°, by angle:
two_theta  I (rel.)
27.9  22
31.5  100
33.5  16
38.5  14
41.3  39
48.7  11
48.9  21
59.2  11

Structure:
Cell: 6.449 3.739 8.198 Å, 90.00 105.18 90.00°
Space group Cm (No. 8)
Unique sites:
Tl 0.000 0.000 0.000
As 0.023 0.500 0.573
Pt 0.240 0.000 0.726
Cl 0.248 0.500 0.249

# 2
Tl2TcO5: simulated powder X-ray diffraction pattern (Cu Kα), based on DFT lattice parameters and positions (PBE).

Principal peaks in the range 2θ = 15–90°, by angle:
two_theta  I (rel.)
24.0  80
27.3  45
29.3  100
30.9  61
35.6  60
46.9  20
49.8  52
56.3  36

Structure:
Cell: 3.871 13.056 10.319 Å, 90.00 90.00 90.00°
Space group Cmcm (No. 63)
Unique sites:
Tl 0.000 0.141 0.091
Tc 0.000 0.148 0.750
O 0.000 0.054 0.618
O 0.000 0.258 0.615
O 0.000 0.339 0.250

# 3
Ac2Ni3Ge: simulated powder X-ray diffraction pattern (Cu Kα), based on DFT lattice parameters and positions (PBE).

Principal peaks in the range 2θ = 15–90°, by angle:
two_theta  I (rel.)
24.5  27
32.1  50
32.3  100
42.2  18
42.8  34
43.4  17
55.0  22
61.7  23

Structure:
Cell: 4.173 4.283 7.348 Å, 90.00 90.00 90.00°
Space group Pmm2 (No. 25)
Unique sites:
Ac 0.000 0.000 0.000
Ac 0.500 0.000 0.480
Ni 0.000 0.500 0.333
Ni 0.500 0.500 0.159
Ni 0.500 0.500 0.828
Ge 0.000 0.500 0.664

# 4
Tl3GeCl6: simulated powder X-ray diffraction pattern (Cu Kα), based on DFT lattice parameters and positions (PBE).

Principal peaks in the range 2θ = 15–90°, by angle:
two_theta  I (rel.)
21.4  44
21.6  100
22.8  32
31.9  20
32.5  32
35.6  23
39.4  24
42.7  35

Structure:
Cell: 12.071 16.170 7.789 Å, 90.00 90.00 90.00°
Space group Cmc2_1 (No. 36)
Unique sites:
Tl 0.000 0.093 0.000
Tl 0.199 0.409 0.990
Ge 0.000 0.311 0.446
Cl 0.000 0.280 0.739
Cl 0.000 0.453 0.353
Cl 0.151 0.249 0.319
Cl 0.162 0.004 0.744

# 5
Pm4Sm5Sc: simulated powder X-ray diffraction pattern (Cu Kα), based on DFT lattice parameters and positions (PBE).

Principal peaks in the range 2θ = 15–90°, by angle:
two_theta  I (rel.)
29.3  100
29.6  17
34.2  11
36.0  36
47.3  16
51.9  11
52.3  15
60.7  19

Structure:
Cell: 10.578 10.578 6.041 Å, 90.00 90.00 90.00°
Space group I4mm (No. 107)
Unique sites:
Pm 0.000 0.322 0.000
Sm 0.000 0.000 0.240
Sm 0.186 0.186 0.533
Sc 0.000 0.000 0.775

# 6
Ac3Zn2HgPd9: simulated powder X-ray diffraction pattern (Cu Kα), based on DFT lattice parameters and positions (PBE).

Principal peaks in the range 2θ = 15–90°, by angle:
two_theta  I (rel.)
23.5  41
29.3  24
30.2  79
37.9  100
48.1  50
60.7  25
62.8  22
82.8  20

Structure:
Cell: 7.5669 7.5669 6.8973 Å, 90.00 90.00 120.00°
Space group P-3m1 (No. 164)
Unique sites:
Ac 0.0000 0.0000 0.0000
Ac 0.3333 0.6667 0.6617
Zn 0.3333 0.6667 0.1433
Hg 0.0000 0.0000 0.5000
Pd 0.0000 0.5000 0.0000
Pd 0.1776 0.3551 0.3263

# 7
SrMoPb2: simulated powder X-ray diffraction pattern (Cu Kα), based on DFT lattice parameters and positions (PBE).

Principal peaks in the range 2θ = 15–90°, by angle:
two_theta  I (rel.)
22.3  55
24.6  89
29.4  51
32.1  96
33.2  84
33.7  56
35.3  100
40.9  48

Structure:
Cell: 3.621 5.569 5.715 Å, 90.00 91.12 90.00°
Space group Pm (No. 6)
Unique sites:
Sr 0.000 0.000 0.000
Mo 0.561 0.500 0.327
Pb 0.488 0.500 0.836
Pb 0.498 0.000 0.480

# 8
Nd3TmSn2: simulated powder X-ray diffraction pattern (Cu Kα), based on DFT lattice parameters and positions (PBE).

Principal peaks in the range 2θ = 15–90°, by angle:
two_theta  I (rel.)
29.1  100
30.8  40
34.3  98
38.9  61
50.4  50
56.2  21
64.5  21
67.5  28

Structure:
Cell: 4.630 4.630 8.708 Å, 90.00 90.00 90.00°
Space group P-4m2 (No. 115)
Unique sites:
Nd 0.000 0.000 0.000
Nd 0.000 0.500 0.651
Tm 0.500 0.500 0.000
Sn 0.000 0.500 0.276

# 9
Sn2As2I: simulated powder X-ray diffraction pattern (Cu Kα), based on DFT lattice parameters and positions (PBE).

Principal peaks in the range 2θ = 15–90°, by angle:
two_theta  I (rel.)
29.8  84
32.8  100
44.9  16
47.1  47
51.0  14
56.7  28
68.8  15
78.3  17

Structure:
Cell: 5.460 5.460 9.482 Å, 90.00 90.00 90.00°
Space group I4/mmm (No. 139)
Unique sites:
Sn 0.000 0.500 0.250
As 0.000 0.000 0.129
I 0.000 0.000 0.500

# 10
La2Nd2Sm2In: simulated powder X-ray diffraction pattern (Cu Kα), based on DFT lattice parameters and positions (PBE).

Principal peaks in the range 2θ = 15–90°, by angle:
two_theta  I (rel.)
24.6  19
25.9  41
29.4  30
32.1  49
32.5  44
33.4  100
34.4  98
61.7  19

Structure:
Cell: 16.554 3.589 11.410 Å, 90.00 132.83 90.00°
Space group C2/m (No. 12)
Unique sites:
La 0.170 0.000 0.171
Nd 0.133 0.000 0.829
Sm 0.136 0.000 0.443
In 0.000 0.500 0.500

# 11
Rb2MgZr2Te6: simulated powder X-ray diffraction pattern (Cu Kα), based on DFT lattice parameters and positions (PBE).

Principal peaks in the range 2θ = 15–90°, by angle:
two_theta  I (rel.)
25.2  13
27.9  100
29.7  12
34.1  20
36.7  27
42.7  12
42.8  24
45.2  14

Structure:
Cell: 7.312 12.706 9.122 Å, 90.00 105.48 90.00°
Space group C2/m (No. 12)
Unique sites:
Rb 0.000 0.165 0.000
Mg 0.000 0.000 0.500
Zr 0.000 0.332 0.500
Te 0.221 0.500 0.690
Te 0.234 0.168 0.690

# 12
BaZn2Br2: simulated powder X-ray diffraction pattern (Cu Kα), based on DFT lattice parameters and positions (PBE).

Principal peaks in the range 2θ = 15–90°, by angle:
two_theta  I (rel.)
17.2  32
26.0  46
31.3  78
33.2  100
38.1  36
45.9  32
55.3  29
56.6  28

Structure:
Cell: 3.956 3.956 20.624 Å, 90.00 90.00 90.00°
Space group I4/mmm (No. 139)
Unique sites:
Ba 0.000 0.000 0.000
Zn 0.000 0.500 0.250
Br 0.000 0.000 0.412

# 13
PrAg5Se4: simulated powder X-ray diffraction pattern (Cu Kα), based on DFT lattice parameters and positions (PBE).

Principal peaks in the range 2θ = 15–90°, by angle:
two_theta  I (rel.)
24.5  24
27.5  33
31.3  100
37.1  26
41.4  32
42.3  15
44.0  85
77.4  15

Structure:
Cell: 4.359 7.824 14.532 Å, 90.00 90.00 90.00°
Space group Immm (No. 71)
Unique sites:
Pr 0.000 0.000 0.000
Ag 0.000 0.288 0.318
Ag 0.000 0.500 0.000
Se 0.000 0.000 0.212
Se 0.000 0.230 0.500